Starting from DFT lattice parameters and positions (PBE+U), the X-ray diffraction stick pattern of Fe4O5F3 was calculated for Cu Kα.

Atomic structure:
a b c (Å): 5.6441 5.6441 5.6441
angles (deg): 115.80 111.54 101.40
Fractional coordinates of all 12 atoms:
1 Fe 0.0000 0.0000 0.0000
2 Fe 0.5015 0.2431 0.7417
3 Fe 0.5015 0.7598 0.2583
4 Fe 0.9583 0.4583 0.5000
5 O 0.1832 0.2455 0.4454
6 O 0.1832 0.7378 0.9377
7 O 0.6780 0.1780 0.5000
8 O 0.8001 0.2455 0.0623
9 O 0.8001 0.7378 0.5546
10 F 0.3050 0.8050 0.5000
11 F 0.3123 0.3123 0.0000
12 F 0.6833 0.6833 0.0000

Largest 10 diffraction maxima, by angle, 10° ≤ 2θ ≤ 80°:
Position (°2θ)  I (rel.)
24.91  100
28.11  84
35.40  84
37.90  18
39.21  15
51.03  74
54.60  46
58.11  13
61.87  14
66.84  37